This entry pairs a crystal structure of Ba2TeCl with its theoretical powder X-ray diffraction pattern. Radiation: copper Kα. Structure: a GGA-PBE-relaxed structure.
Kinematic intensities with the Lorentz-polarization factor, no thermal factor.

Main lines, by angle (5° ≤ 2θ ≤ 70°):
index, two_theta, I (rel.)
0 0 4, 26.55, 45
1 1 1, 27.28, 100
0 1 3, 28.02, 17
1 1 3, 33.28, 53
2 0 0, 35.61, 24
0 2 0, 39.79, 17
1 1 5, 43.07, 23
2 0 4, 44.96, 21
2 1 3, 45.92, 13
0 2 4, 48.48, 17
2 2 0, 54.45, 14
2 2 4, 61.58, 16

Atomic structure:
Cell lengths 5.043, 4.531, 13.428 Å; angles 90.00, 90.00, 90.00 degrees
Space group Amm2 (No. 38)
Unique sites:
Ba  0.000  0.000  0.000
Ba  0.500  0.000  0.269
Te  0.500  0.000  0.538
Cl  0.000  0.000  0.771


This entry pairs a crystal structure of Rb3Mn2I2Cl5 with its theoretical powder X-ray diffraction pattern. Radiation: copper Kα. Structure: a GGA-PBE-relaxed structure.
Kinematic intensities with the Lorentz-polarization factor, no thermal factor.

Main lines, by angle (5° ≤ 2θ ≤ 70°):
index, two_theta, I (rel.)
1 1 0, 24.31, 100
0 0 8, 25.16, 37
1 0 7, 28.02, 57
1 1 6, 30.93, 92
0 0 10, 31.64, 23
2 0 0, 34.65, 97
2 1 7, 45.16, 42
2 0 10, 47.63, 27
2 2 0, 49.82, 33
3 1 0, 56.18, 20
3 0 7, 58.17, 19
3 1 6, 59.80, 26

Atomic structure:
Cell lengths 5.177, 5.177, 28.277 Å; angles 90.00, 90.00, 90.00 degrees
Space group I4/mmm (No. 139)
Unique sites:
Rb  0.000  0.000  0.000
Rb  0.000  0.000  0.170
Mn  0.000  0.000  0.410
I  0.000  0.000  0.308
Cl  0.000  0.000  0.500
Cl  0.000  0.500  0.088


This entry pairs a crystal structure of Sr2LiPb8 with its theoretical powder X-ray diffraction pattern. Radiation: copper Kα. Structure: a GGA-PBE-relaxed structure.
Kinematic intensities with the Lorentz-polarization factor, no thermal factor.

Main lines, by angle (5° ≤ 2θ ≤ 70°):
index, two_theta, I (rel.)
1 1 0, 25.02, 16
1 1 1, 25.91, 11
1 1 2, 28.43, 43
1 1 3, 32.22, 100
0 0 5, 33.61, 24
2 0 0, 35.68, 55
2 0 5, 49.83, 32
2 2 0, 51.35, 20
3 1 2, 59.74, 11
1 1 8, 61.43, 23
3 1 3, 61.93, 32
2 2 5, 62.78, 16

Atomic structure:
Cell lengths 5.033, 5.033, 13.332 Å; angles 90.00, 90.00, 90.00 degrees
Space group P4/mmm (No. 123)
Unique sites:
Sr  0.000  0.000  0.188
Li  0.000  0.000  0.500
Pb  0.000  0.500  0.000
Pb  0.000  0.500  0.376
Pb  0.500  0.500  0.191


This entry pairs a crystal structure of NbF6 with its theoretical powder X-ray diffraction pattern. Radiation: copper Kα. Structure: a GGA-PBE-relaxed structure.
Kinematic intensities with the Lorentz-polarization factor, no thermal factor.

Main lines, by angle (5° ≤ 2θ ≤ 70°):
index, two_theta, I (rel.)
1 1 0, 18.68, 100
2 0 0, 26.53, 31
2 1 1, 32.64, 6
2 2 0, 37.87, 5
3 1 0, 42.55, 37
3 2 1, 50.84, 12
4 0 0, 54.64, 7
3 3 0, 58.26, 16
4 2 0, 61.74, 7
3 3 2, 65.11, 5
4 2 2, 68.40, 1

Atomic structure:
Cell lengths 6.719, 6.719, 6.719 Å; angles 90.00, 90.00, 90.00 degrees
Space group Im-3m (No. 229)
Unique sites:
Nb  0.000  0.000  0.000
F  0.000  0.000  0.288